Entry 1:
Diffraction record for TiPb3. The X-ray diffraction stick pattern is simulated, not measured: it uses a crystal structure in Alexandria, relaxed with GGA-PBE and λ = 1.5418 Å (Cu Kα).

Cell and atoms:
abc: 7.772 7.772 7.772
angles: 156.01 143.56 44.11
Fractional positions:
Ti 0.000 0.000 0.000
Pb 0.183 0.683 0.500
Pb 0.500 0.500 0.000
Pb 0.817 0.317 0.500

The 10 most intense peaks (2θ = 15–90°), sorted by position:
2theta, Rel. int.
26.08, 100
28.31, 29
35.62, 84
36.99, 30
37.46, 23
41.91, 17
42.02, 26
57.20, 21
62.01, 27
63.72, 18

Entry 2:
Diffraction record for Ac2Tb4Y7. The X-ray diffraction stick pattern is simulated, not measured: it uses a crystal structure in Alexandria, relaxed with GGA-PBE and λ = 1.5418 Å (Cu Kα).

Cell and atoms:
abc: 6.214 6.214 13.485
angles: 90.00 90.00 120.00
Fractional positions:
Ac 0.333 0.667 0.000
Ac 0.667 0.333 0.000
Tb 0.000 0.000 0.396
Tb 0.000 0.000 0.604
Tb 0.333 0.667 0.500
Tb 0.667 0.333 0.500
Y 0.000 0.000 0.000
Y 0.000 0.353 0.779
Y 0.000 0.647 0.221
Y 0.353 0.000 0.779
Y 0.353 0.353 0.221
Y 0.647 0.000 0.221
Y 0.647 0.647 0.779

The 10 most intense peaks (2θ = 15–90°), sorted by position:
2theta, Rel. int.
17.75, 15
26.44, 18
28.73, 36
29.50, 19
31.31, 25
31.71, 100
35.11, 20
50.09, 14
50.90, 26
61.23, 15

Entry 3:
Diffraction record for CaNd3In4. The X-ray diffraction stick pattern is simulated, not measured: it uses a crystal structure in Alexandria, relaxed with GGA-PBE and λ = 1.5418 Å (Cu Kα).

Cell and atoms:
abc: 3.857 3.857 15.613
angles: 90.00 90.00 90.00
Fractional positions:
Ca 0.000 0.000 0.000
Nd 0.000 0.000 0.247
Nd 0.000 0.000 0.500
Nd 0.000 0.000 0.753
In 0.500 0.500 0.122
In 0.500 0.500 0.375
In 0.500 0.500 0.625
In 0.500 0.500 0.878

The 10 most intense peaks (2θ = 15–90°), sorted by position:
2theta, Rel. int.
32.64, 100
32.84, 49
46.53, 9
47.12, 18
58.12, 18
58.50, 37
68.39, 11
77.41, 8
78.30, 8
78.41, 8